Record 1
Starting from a cell relaxed with GGA+U, the powder XRD pattern of Li4Ti2Co3Sb3O16 was computed for Cu Kα.
Lines closer than 0.1° are merged.

Top 10 peaks for 2θ = 5–70°, in order of rising 2θ:
hkl, 2θ (°), I_rel
0 0 2, 18.22, 1000
1 1 0, 18.81, 329
0 2 0, 18.95, 389
0 2 2, 19.08, 314
2 2 1, 34.68, 280
2 2 3, 34.93, 448
0 4 3, 35.05, 304
0 4 -1, 43.83, 274
2 2 5, 44.23, 343
4 0 2, 60.08, 239

a b c (Å): 6.161 10.638 11.449
angles (deg): 62.69 74.97 89.70
Space group P1 (No. 1)
Symmetry-distinct sites (fractional):
Li (0.000, 0.000, 0.000) [1 per cell]
Li (0.044, 0.717, 0.897) [1 per cell]
Li (0.242, 0.256, 0.479) [1 per cell]
Li (0.324, 0.647, 0.388) [1 per cell]
Li (0.499, 0.502, 0.000) [1 per cell]
Li (0.544, 0.217, 0.897) [1 per cell]
Li (0.742, 0.755, 0.479) [1 per cell]
Li (0.823, 0.147, 0.387) [1 per cell]
Ti (0.028, 0.345, 0.998) [1 per cell]
Ti (0.313, 0.950, 0.467) [1 per cell]
Ti (0.528, 0.844, 0.998) [1 per cell]
Ti (0.814, 0.450, 0.467) [1 per cell]
Co (0.159, 0.491, 0.208) [1 per cell]
Co (0.391, 0.562, 0.709) [1 per cell]
Co (0.415, 0.233, 0.206) [1 per cell]
Co (0.657, 0.990, 0.206) [1 per cell]
Co (0.891, 0.062, 0.709) [1 per cell]
Co (0.917, 0.731, 0.208) [1 per cell]
Sb (0.143, 0.314, 0.712) [1 per cell]
Sb (0.166, 0.987, 0.211) [1 per cell]
Sb (0.397, 0.061, 0.712) [1 per cell]
Sb (0.643, 0.815, 0.711) [1 per cell]
Sb (0.668, 0.486, 0.211) [1 per cell]
Sb (0.897, 0.561, 0.712) [1 per cell]
O (0.065, 0.573, 0.348) [1 per cell]
O (0.073, 0.559, 0.839) [1 per cell]
O (0.096, 0.095, 0.813) [1 per cell]
O (0.119, 0.070, 0.343) [1 per cell]
O (0.195, 0.533, 0.598) [1 per cell]
O (0.210, 0.378, 0.082) [1 per cell]
O (0.216, 0.042, 0.589) [1 per cell]
O (0.232, 0.884, 0.089) [1 per cell]
O (0.293, 0.339, 0.839) [1 per cell]
O (0.333, 0.856, 0.343) [1 per cell]
O (0.353, 0.841, 0.833) [1 per cell]
O (0.373, 0.360, 0.296) [1 per cell]
O (0.434, 0.279, 0.599) [1 per cell]
O (0.455, 0.120, 0.101) [1 per cell]
O (0.464, 0.795, 0.589) [1 per cell]
O (0.485, 0.632, 0.089) [1 per cell]
O (0.564, 0.074, 0.348) [1 per cell]
O (0.573, 0.060, 0.838) [1 per cell]
O (0.594, 0.597, 0.812) [1 per cell]
O (0.618, 0.569, 0.344) [1 per cell]
O (0.694, 0.034, 0.597) [1 per cell]
O (0.711, 0.878, 0.081) [1 per cell]
O (0.716, 0.542, 0.588) [1 per cell]
O (0.731, 0.384, 0.089) [1 per cell]
O (0.792, 0.839, 0.838) [1 per cell]
O (0.833, 0.354, 0.344) [1 per cell]
O (0.852, 0.341, 0.834) [1 per cell]
O (0.872, 0.860, 0.295) [1 per cell]
O (0.934, 0.781, 0.598) [1 per cell]
O (0.957, 0.620, 0.101) [1 per cell]
O (0.964, 0.294, 0.589) [1 per cell]
O (0.983, 0.131, 0.089) [1 per cell]

Record 2
Starting from a cell relaxed with GGA+U, the powder XRD pattern of MgMn2Fe2P4O16 was computed for Cu Kα.
Lines closer than 0.1° are merged.

Top 10 peaks for 2θ = 5–70°, in order of rising 2θ:
hkl, 2θ (°), I_rel
0 0 2, 17.33, 638
1 0 -1, 19.92, 441
1 0 1, 20.33, 604
1 1 -1, 24.82, 740
1 -1 1, 25.06, 359
0 2 0, 29.54, 1000
1 1 -3, 34.91, 418
-1 1 3, 35.04, 455
1 1 3, 35.86, 628
-2 2 2, 50.93, 444

a b c (Å): 4.891 6.049 10.239
angles (deg): 90.49 91.49 90.22
Space group P1 (No. 1)
Symmetry-distinct sites (fractional):
Mg (0.000, 0.000, 0.000) [1 per cell]
Mn (0.480, 0.268, 0.765) [1 per cell]
Mn (0.943, 0.762, 0.704) [1 per cell]
Fe (0.029, 0.259, 0.287) [1 per cell]
Fe (0.515, 0.748, 0.232) [1 per cell]
P (0.071, 0.759, 0.401) [1 per cell]
P (0.414, 0.758, 0.902) [1 per cell]
P (0.589, 0.248, 0.099) [1 per cell]
P (0.906, 0.258, 0.590) [1 per cell]
O (0.165, 0.760, 0.546) [1 per cell]
O (0.200, 0.552, 0.328) [1 per cell]
O (0.205, 0.961, 0.327) [1 per cell]
O (0.213, 0.251, 0.609) [1 per cell]
O (0.254, 0.961, 0.839) [1 per cell]
O (0.274, 0.229, 0.112) [1 per cell]
O (0.296, 0.555, 0.826) [1 per cell]
O (0.319, 0.764, 0.046) [1 per cell]
O (0.682, 0.243, 0.956) [1 per cell]
O (0.718, 0.442, 0.179) [1 per cell]
O (0.728, 0.782, 0.891) [1 per cell]
O (0.753, 0.045, 0.162) [1 per cell]
O (0.758, 0.066, 0.668) [1 per cell]
O (0.762, 0.759, 0.388) [1 per cell]
O (0.770, 0.459, 0.664) [1 per cell]
O (0.821, 0.253, 0.445) [1 per cell]

Record 3
Starting from a cell relaxed with GGA+U, the powder XRD pattern of BaLaCoSbO6 was computed for Cu Kα.
Lines closer than 0.1° are merged.

Top 10 peaks for 2θ = 5–70°, in order of rising 2θ:
hkl, 2θ (°), I_rel
1 0 1, 18.84, 81
1 1 2, 30.97, 1000
2 0 0, 31.09, 548
2 0 2, 38.22, 93
0 0 4, 44.19, 158
2 2 0, 44.54, 291
2 0 4, 55.01, 221
3 1 2, 55.23, 431
2 2 4, 64.54, 178
4 0 0, 64.81, 83

a b c (Å): 5.754 5.754 8.198
angles (deg): 90.00 90.00 90.00
Space group I-4 (No. 82)
Symmetry-distinct sites (fractional):
Ba (0.000, 0.000, 0.000) [2 per cell]
La (0.000, 0.000, 0.500) [2 per cell]
Co (0.000, 0.500, 0.750) [2 per cell]
Sb (0.000, 0.500, 0.250) [2 per cell]
O (0.000, 0.500, 0.004) [4 per cell]
O (0.189, 0.206, 0.271) [8 per cell]

Record 4
Starting from a cell relaxed with GGA+U, the powder XRD pattern of Li4Ti2Mn3Fe3O16 was computed for Cu Kα.
Lines closer than 0.1° are merged.

Top 10 peaks for 2θ = 5–70°, in order of rising 2θ:
hkl, 2θ (°), I_rel
0 0 2, 18.63, 1000
0 1 1, 19.43, 231
1 0 -1, 19.65, 709
1 1 -1, 19.83, 394
-1 1 2, 35.36, 212
1 -1 2, 35.89, 203
0 2 -1, 36.34, 400
2 2 2, 39.84, 204
2 0 -3, 45.30, 316
2 2 -5, 61.17, 210

a b c (Å): 5.892 5.915 9.527
angles (deg): 88.77 89.66 60.51
Space group P1 (No. 1)
Symmetry-distinct sites (fractional):
Li (0.000, 0.000, 0.000) [1 per cell]
Li (0.000, 0.003, 0.500) [1 per cell]
Li (0.335, 0.317, 0.097) [1 per cell]
Li (0.661, 0.658, 0.598) [1 per cell]
Ti (0.331, 0.336, 0.500) [1 per cell]
Ti (0.667, 0.660, 0.000) [1 per cell]
Mn (0.169, 0.169, 0.779) [1 per cell]
Mn (0.338, 0.824, 0.281) [1 per cell]
Mn (0.830, 0.340, 0.278) [1 per cell]
Fe (0.170, 0.656, 0.780) [1 per cell]
Fe (0.658, 0.168, 0.779) [1 per cell]
Fe (0.825, 0.831, 0.278) [1 per cell]
O (0.002, 0.008, 0.189) [1 per cell]
O (0.003, 0.003, 0.688) [1 per cell]
O (0.035, 0.469, 0.657) [1 per cell]
O (0.145, 0.194, 0.402) [1 per cell]
O (0.165, 0.668, 0.401) [1 per cell]
O (0.329, 0.320, 0.889) [1 per cell]
O (0.335, 0.833, 0.899) [1 per cell]
O (0.466, 0.036, 0.654) [1 per cell]
O (0.474, 0.476, 0.648) [1 per cell]
O (0.516, 0.948, 0.150) [1 per cell]
O (0.547, 0.484, 0.147) [1 per cell]
O (0.662, 0.168, 0.397) [1 per cell]
O (0.663, 0.652, 0.386) [1 per cell]
O (0.835, 0.824, 0.906) [1 per cell]
O (0.843, 0.329, 0.895) [1 per cell]
O (0.963, 0.508, 0.156) [1 per cell]

Record 5
Starting from a cell relaxed with GGA+U, the powder XRD pattern of MgCo4P8O28 was computed for Cu Kα.
Lines closer than 0.1° are merged.

Top 10 peaks for 2θ = 5–70°, in order of rising 2θ:
hkl, 2θ (°), I_rel
0 1 1, 14.79, 632
1 -1 0, 17.50, 879
1 1 0, 17.63, 1000
1 1 -2, 23.02, 551
2 0 -2, 28.34, 810
1 -2 1, 29.38, 237
0 2 -2, 29.78, 950
0 2 2, 29.91, 986
0 1 -3, 32.04, 262
2 -2 0, 35.44, 235

a b c (Å): 6.838 8.077 9.438
angles (deg): 90.09 108.90 90.37
Space group P1 (No. 1)
Symmetry-distinct sites (fractional):
Mg (0.000, 0.000, 0.000) [1 per cell]
Co (0.445, 0.888, 0.535) [1 per cell]
Co (0.457, 0.844, 0.037) [1 per cell]
Co (0.888, 0.347, 0.540) [1 per cell]
Co (0.890, 0.392, 0.046) [1 per cell]
P (0.102, 0.144, 0.335) [1 per cell]
P (0.119, 0.581, 0.836) [1 per cell]
P (0.232, 0.659, 0.243) [1 per cell]
P (0.233, 0.083, 0.748) [1 per cell]
P (0.641, 0.536, 0.242) [1 per cell]
P (0.642, 0.200, 0.743) [1 per cell]
P (0.699, 0.026, 0.336) [1 per cell]
P (0.719, 0.709, 0.835) [1 per cell]
O (0.031, 0.175, 0.687) [1 per cell]
O (0.032, 0.562, 0.199) [1 per cell]
O (0.053, 0.183, 0.166) [1 per cell]
O (0.082, 0.293, 0.428) [1 per cell]
O (0.085, 0.513, 0.680) [1 per cell]
O (0.096, 0.450, 0.947) [1 per cell]
O (0.225, 0.805, 0.132) [1 per cell]
O (0.243, 0.018, 0.906) [1 per cell]
O (0.260, 0.942, 0.649) [1 per cell]
O (0.284, 0.718, 0.405) [1 per cell]
O (0.312, 0.060, 0.391) [1 per cell]
O (0.326, 0.677, 0.895) [1 per cell]
O (0.402, 0.524, 0.233) [1 per cell]
O (0.418, 0.217, 0.766) [1 per cell]
O (0.565, 0.713, 0.676) [1 per cell]
O (0.567, 0.022, 0.167) [1 per cell]
O (0.650, 0.031, 0.673) [1 per cell]
O (0.651, 0.883, 0.424) [1 per cell]
O (0.662, 0.707, 0.177) [1 per cell]
O (0.678, 0.345, 0.651) [1 per cell]
O (0.682, 0.393, 0.146) [1 per cell]
O (0.685, 0.199, 0.397) [1 per cell]
O (0.699, 0.538, 0.897) [1 per cell]
O (0.715, 0.856, 0.939) [1 per cell]
O (0.773, 0.526, 0.407) [1 per cell]
O (0.799, 0.198, 0.905) [1 per cell]
O (0.936, 0.000, 0.340) [1 per cell]
O (0.952, 0.728, 0.826) [1 per cell]